Record 1
This entry pairs a crystal structure of Ti5OsPt2Rh2 with its simulated X-ray diffraction stick pattern. Radiation: Cu Kα. Structure: a DFT-relaxed cell (PBE, Alexandria).

Structural model:
abc: 10.6348 10.6348 2.9343
angles: 90.00 90.00 90.00
Positions (direct):
Ti 0.0000 0.5000 0.0000
Ti 0.1358 0.1532 0.0000
Ti 0.1532 0.8642 0.0000
Ti 0.3468 0.3642 0.0000
Ti 0.3642 0.6532 0.0000
Ti 0.5000 0.0000 0.0000
Ti 0.6358 0.3468 0.0000
Ti 0.6532 0.6358 0.0000
Ti 0.8468 0.1358 0.0000
Ti 0.8642 0.8468 0.0000
Os 0.0000 0.0000 0.5000
Os 0.5000 0.5000 0.5000
Pt 0.1523 0.6523 0.5000
Pt 0.3477 0.1523 0.5000
Pt 0.6523 0.8477 0.5000
Pt 0.8477 0.3477 0.5000
Rh 0.1450 0.3550 0.5000
Rh 0.3550 0.8550 0.5000
Rh 0.6450 0.1450 0.5000
Rh 0.8550 0.6450 0.5000

Largest 10 diffraction maxima, in order of rising 2θ, 2θ from 10° to 80°:
| 2θ/deg | intensity |
| --- | --- |
| 23.66 | 21 |
| 26.50 | 46 |
| 30.46 | 18 |
| 33.71 | 16 |
| 37.83 | 24 |
| 40.81 | 100 |
| 47.72 | 14 |
| 48.42 | 20 |
| 51.56 | 19 |
| 75.38 | 30 |



Record 2
This entry pairs a crystal structure of OsRu2Pt with its simulated X-ray diffraction stick pattern. Radiation: Cu Kα. Structure: a DFT-relaxed cell (PBE, Alexandria).

Structural model:
abc: 2.7226 3.8817 5.4557
angles: 90.00 90.00 90.00
Positions (direct):
Os 0.0000 0.0000 0.0000
Ru 0.0000 0.0000 0.5203
Ru 0.5000 0.5000 0.7652
Pt 0.5000 0.5000 0.2630

Largest 10 diffraction maxima, in order of rising 2θ, 2θ from 10° to 80°:
| 2θ/deg | intensity |
| --- | --- |
| 16.25 | 8 |
| 28.22 | 7 |
| 36.90 | 3 |
| 40.44 | 100 |
| 43.88 | 3 |
| 46.81 | 17 |
| 47.16 | 32 |
| 68.63 | 21 |
| 68.84 | 5 |
| 68.99 | 5 |



Record 3
This entry pairs a crystal structure of OsRu2Pt with its simulated X-ray diffraction stick pattern. Radiation: Cu Kα. Structure: a DFT-relaxed cell (PBE, Alexandria).

Structural model:
abc: 3.8741 3.8741 3.8337
angles: 90.00 90.00 90.00
Positions (direct):
Os 0.0000 0.0000 0.0000
Ru 0.0000 0.5000 0.5000
Ru 0.5000 0.0000 0.5000
Pt 0.5000 0.5000 0.0000

Largest 10 diffraction maxima, in order of rising 2θ, 2θ from 10° to 80°:
| 2θ/deg | intensity |
| --- | --- |
| 23.20 | 9 |
| 32.69 | 8 |
| 40.47 | 100 |
| 46.90 | 33 |
| 47.43 | 16 |
| 52.96 | 4 |
| 58.79 | 3 |
| 68.50 | 11 |
| 68.92 | 21 |
| 73.41 | 2 |



Record 4
This entry pairs a crystal structure of Os2RuPt with its simulated X-ray diffraction stick pattern. Radiation: Cu Kα. Structure: a DFT-relaxed cell (PBE, Alexandria).

Structural model:
abc: 3.8713 3.8693 7.7468
angles: 90.00 90.01 90.00
Positions (direct):
Os 0.0006 0.2500 0.1209
Os 0.4990 0.7500 0.1213
Os 0.5010 0.2500 0.8787
Os 0.9994 0.7500 0.8791
Ru 0.0006 0.7500 0.3704
Ru 0.9994 0.2500 0.6296
Pt 0.5004 0.2500 0.3706
Pt 0.4996 0.7500 0.6294

Largest 10 diffraction maxima, in order of rising 2θ, 2θ from 10° to 80°:
| 2θ/deg | intensity |
| --- | --- |
| 11.42 | 5 |
| 22.97 | 2 |
| 25.73 | 3 |
| 32.71 | 2 |
| 40.35 | 100 |
| 42.06 | 1 |
| 46.94 | 49 |
| 48.47 | 2 |
| 52.88 | 1 |
| 68.56 | 32 |



Record 5
This entry pairs a crystal structure of UOsRuPt with its simulated X-ray diffraction stick pattern. Radiation: Cu Kα. Structure: a DFT-relaxed cell (PBE, Alexandria).

Structural model:
abc: 3.8831 4.1219 4.1285
angles: 90.00 90.00 90.00
Positions (direct):
U 0.0000 0.0000 0.0000
Os 0.5000 0.5000 0.0000
Ru 0.5000 0.0000 0.5000
Pt 0.0000 0.5000 0.5000

Largest 10 diffraction maxima, in order of rising 2θ, 2θ from 10° to 80°:
| 2θ/deg | intensity |
| --- | --- |
| 21.53 | 3 |
| 22.90 | 3 |
| 30.65 | 3 |
| 38.60 | 100 |
| 43.90 | 35 |
| 46.79 | 15 |
| 63.82 | 12 |
| 66.09 | 21 |
| 77.08 | 14 |
| 77.19 | 14 |



Record 6
This entry pairs a crystal structure of Th8OsPt3Se4 with its simulated X-ray diffraction stick pattern. Radiation: Cu Kα. Structure: a DFT-relaxed cell (PBE, Alexandria).

Structural model:
abc: 8.2997 8.2997 8.7636
angles: 118.26 118.26 60.00
Positions (direct):
Th 0.2369 0.2369 0.7235
Th 0.2381 0.7506 0.7246
Th 0.2494 0.7619 0.2754
Th 0.2565 0.2565 0.2722
Th 0.7435 0.7435 0.7278
Th 0.7506 0.2381 0.7246
Th 0.7619 0.2494 0.2754
Th 0.7631 0.7631 0.2765
Os 0.0000 0.0000 0.5000
Pt 0.0000 0.5000 0.5000
Pt 0.5000 0.0000 0.5000
Pt 0.5000 0.5000 0.5000
Se 0.0000 0.0000 0.0000
Se 0.0000 0.5000 0.0000
Se 0.5000 0.0000 0.0000
Se 0.5000 0.5000 0.0000

Largest 10 diffraction maxima, in order of rising 2θ, 2θ from 10° to 80°:
| 2θ/deg | intensity |
| --- | --- |
| 12.06 | 17 |
| 26.08 | 8 |
| 29.69 | 100 |
| 41.32 | 38 |
| 43.62 | 36 |
| 53.65 | 19 |
| 61.65 | 12 |
| 68.24 | 15 |
| 71.55 | 11 |
| 78.53 | 13 |



Record 7
This entry pairs a crystal structure of SiOs2Pt with its simulated X-ray diffraction stick pattern. Radiation: Cu Kα. Structure: a DFT-relaxed cell (PBE, Alexandria).

Structural model:
abc: 5.4689 5.4689 5.4689
angles: 121.16 121.16 88.00
Positions (direct):
Si 0.2500 0.7500 0.5000
Si 0.7500 0.2500 0.5000
Os 0.1848 0.6848 0.8696
Os 0.3152 0.1848 0.5000
Os 0.6848 0.8152 0.5000
Os 0.8152 0.3152 0.1304
Pt 0.2500 0.2500 0.0000
Pt 0.7500 0.7500 0.0000

Largest 10 diffraction maxima, in order of rising 2θ, 2θ from 10° to 80°:
| 2θ/deg | intensity |
| --- | --- |
| 32.77 | 39 |
| 39.20 | 61 |
| 40.67 | 100 |
| 46.15 | 27 |
| 47.89 | 22 |
| 51.59 | 28 |
| 53.97 | 18 |
| 68.69 | 15 |
| 73.69 | 33 |
| 79.51 | 16 |



Record 8
This entry pairs a crystal structure of Tm2Si4OsPt3 with its simulated X-ray diffraction stick pattern. Radiation: Cu Kα. Structure: a DFT-relaxed cell (PBE, Alexandria).

Structural model:
abc: 4.1116 4.1116 9.9933
angles: 90.00 90.00 90.00
Positions (direct):
Tm 0.0000 0.5000 0.2495
Tm 0.5000 0.0000 0.7505
Si 0.0000 0.0000 0.0000
Si 0.0000 0.5000 0.6311
Si 0.5000 0.0000 0.3689
Si 0.5000 0.5000 0.0000
Os 0.0000 0.0000 0.5000
Pt 0.0000 0.5000 0.8698
Pt 0.5000 0.0000 0.1302
Pt 0.5000 0.5000 0.5000

Largest 10 diffraction maxima, in order of rising 2θ, 2θ from 10° to 80°:
| 2θ/deg | intensity |
| --- | --- |
| 26.76 | 27 |
| 28.11 | 30 |
| 32.06 | 61 |
| 34.66 | 64 |
| 35.73 | 100 |
| 44.05 | 64 |
| 50.79 | 28 |
| 57.23 | 31 |
| 69.46 | 22 |
| 75.57 | 23 |